Diffraction record for HoErAg5. The powder diffraction line list is calculated, not measured: it uses a crystal structure in Alexandria, relaxed with PBE and Cu Kα X-rays.

Largest 10 diffraction maxima, in order of rising 2θ, 10 to 90 degrees two-theta:
| 2θ (°) | d [Å] | I_rel |
| --- | --- | --- |
| 22.49 | 3.953 | 216 |
| 36.52 | 2.460 | 542 |
| 37.45 | 2.402 | 1000 |
| 43.32 | 2.089 | 80 |
| 52.61 | 1.740 | 185 |
| 66.35 | 1.409 | 356 |
| 68.16 | 1.376 | 159 |
| 79.88 | 1.201 | 102 |
| 88.97 | 1.100 | 84 |
| 89.52 | 1.095 | 82 |

Atomic structure:
Cell lengths 4.9203, 4.9203, 6.6383 Å; angles 90.00, 90.00, 90.00 degrees
Fractional positions:
Ho  0.0000  0.0000  0.0000
Er  0.5000  0.5000  0.5000
Ag  0.0000  0.5000  0.2618
Ag  0.0000  0.5000  0.7382
Ag  0.5000  0.0000  0.2618
Ag  0.5000  0.0000  0.7382
Ag  0.5000  0.5000  0.0000

---

Diffraction record for LaTb2Fe9. The powder diffraction line list is calculated, not measured: it uses a crystal structure in Alexandria, relaxed with PBE and Cu Kα X-rays.

Largest 10 diffraction maxima, in order of rising 2θ, 10 to 90 degrees two-theta:
| 2θ (°) | d [Å] | I_rel |
| --- | --- | --- |
| 32.50 | 2.755 | 497 |
| 34.84 | 2.575 | 553 |
| 35.53 | 2.526 | 320 |
| 40.62 | 2.221 | 379 |
| 41.44 | 2.179 | 1000 |
| 44.63 | 2.030 | 136 |
| 45.48 | 1.994 | 141 |
| 60.99 | 1.519 | 161 |
| 66.97 | 1.397 | 227 |
| 73.55 | 1.288 | 212 |

Atomic structure:
Cell lengths 8.6991, 8.6991, 8.6991 Å; angles 34.44, 34.44, 34.44 degrees
Fractional positions:
La  0.0000  0.0000  0.0000
Tb  0.1420  0.1420  0.1420
Tb  0.8580  0.8580  0.8580
Fe  0.0845  0.5819  0.5819
Fe  0.3326  0.3326  0.3326
Fe  0.4181  0.4181  0.9155
Fe  0.4181  0.9155  0.4181
Fe  0.5000  0.5000  0.5000
Fe  0.5819  0.0845  0.5819
Fe  0.5819  0.5819  0.0845
Fe  0.6674  0.6674  0.6674
Fe  0.9155  0.4181  0.4181

---

Diffraction record for Cr3Fe5. The powder diffraction line list is calculated, not measured: it uses a crystal structure in Alexandria, relaxed with PBE and Cu Kα X-rays.

Largest 10 diffraction maxima, in order of rising 2θ, 10 to 90 degrees two-theta:
| 2θ (°) | d [Å] | I_rel |
| --- | --- | --- |
| 40.03 | 2.252 | 463 |
| 40.27 | 2.239 | 220 |
| 40.58 | 2.223 | 307 |
| 44.00 | 2.058 | 266 |
| 45.55 | 1.992 | 1000 |
| 47.51 | 1.914 | 581 |
| 49.46 | 1.843 | 442 |
| 52.40 | 1.746 | 147 |
| 76.92 | 1.239 | 181 |
| 81.29 | 1.184 | 147 |

Atomic structure:
Cell lengths 5.5772, 4.4790, 7.8749 Å; angles 90.00, 110.68, 90.00 degrees
Fractional positions:
Cr  0.0373  0.2500  0.4418
Cr  0.3897  0.2500  0.0000
Cr  0.4047  0.7500  0.4416
Cr  0.5953  0.2500  0.5584
Cr  0.6103  0.7500  0.0000
Cr  0.9627  0.7500  0.5582
Fe  0.0029  0.7500  0.2424
Fe  0.1553  0.7500  0.9995
Fe  0.2403  0.2500  0.2425
Fe  0.3601  0.0000  0.7209
Fe  0.3601  0.5000  0.7209
Fe  0.6399  0.0000  0.2791
Fe  0.6399  0.5000  0.2791
Fe  0.7597  0.7500  0.7575
Fe  0.8447  0.2500  0.0005
Fe  0.9971  0.2500  0.7576

---

Diffraction record for YRe2Rh. The powder diffraction line list is calculated, not measured: it uses a crystal structure in Alexandria, relaxed with PBE and Cu Kα X-rays.

Largest 10 diffraction maxima, in order of rising 2θ, 10 to 90 degrees two-theta:
| 2θ (°) | d [Å] | I_rel |
| --- | --- | --- |
| 11.80 | 7.498 | 521 |
| 37.82 | 2.379 | 1000 |
| 41.50 | 2.176 | 455 |
| 43.30 | 2.090 | 95 |
| 46.83 | 1.940 | 192 |
| 48.57 | 1.874 | 71 |
| 60.14 | 1.539 | 152 |
| 65.75 | 1.420 | 115 |
| 73.27 | 1.292 | 287 |
| 79.51 | 1.206 | 84 |

Atomic structure:
Cell lengths 3.0773, 3.0773, 7.4976 Å; angles 90.00, 90.00, 90.00 degrees
Fractional positions:
Y  0.0000  0.0000  0.0000
Re  0.0000  0.0000  0.4854
Re  0.5000  0.5000  0.2980
Rh  0.5000  0.5000  0.7153

---

Diffraction record for Dy4GaNi. The powder diffraction line list is calculated, not measured: it uses a crystal structure in Alexandria, relaxed with PBE and Cu Kα X-rays.

Largest 10 diffraction maxima, in order of rising 2θ, 10 to 90 degrees two-theta:
| 2θ (°) | d [Å] | I_rel |
| --- | --- | --- |
| 25.83 | 3.450 | 266 |
| 30.93 | 2.891 | 347 |
| 31.61 | 2.831 | 1000 |
| 33.74 | 2.657 | 368 |
| 34.16 | 2.625 | 643 |
| 34.27 | 2.617 | 572 |
| 34.40 | 2.607 | 757 |
| 41.26 | 2.188 | 296 |
| 53.13 | 1.724 | 415 |
| 58.58 | 1.576 | 246 |

Atomic structure:
Cell lengths 5.4529, 6.8905, 8.1832 Å; angles 90.00, 103.00, 90.00 degrees
Fractional positions:
Dy  0.1442  0.2500  0.0710
Dy  0.2393  0.7500  0.3809
Dy  0.3159  0.5055  0.7655
Dy  0.3159  0.9945  0.7655
Dy  0.6841  0.0055  0.2345
Dy  0.6841  0.4945  0.2345
Dy  0.7607  0.2500  0.6191
Dy  0.8558  0.7500  0.9290
Ga  0.2084  0.2500  0.4374
Ga  0.7916  0.7500  0.5626
Ni  0.3403  0.7500  0.0545
Ni  0.6597  0.2500  0.9455

---

Diffraction record for Hf4Ti9Zn11. The powder diffraction line list is calculated, not measured: it uses a crystal structure in Alexandria, relaxed with PBE and Cu Kα X-rays.

Largest 10 diffraction maxima, in order of rising 2θ, 10 to 90 degrees two-theta:
| 2θ (°) | d [Å] | I_rel |
| --- | --- | --- |
| 12.97 | 6.827 | 217 |
| 19.99 | 4.442 | 245 |
| 36.65 | 2.452 | 379 |
| 37.35 | 2.407 | 665 |
| 39.73 | 2.269 | 641 |
| 41.20 | 2.191 | 1000 |
| 43.42 | 2.084 | 324 |
| 46.14 | 1.967 | 332 |
| 69.55 | 1.352 | 241 |
| 74.50 | 1.274 | 216 |

Atomic structure:
Cell lengths 12.2639, 12.2639, 2.8644 Å; angles 90.00, 90.00, 112.35 degrees
Fractional positions:
Hf  0.0943  0.2563  0.0000
Hf  0.2563  0.0943  0.0000
Hf  0.7437  0.9057  0.0000
Hf  0.9057  0.7437  0.0000
Ti  0.0000  0.0000  0.0000
Ti  0.1100  0.6657  0.0000
Ti  0.2996  0.4966  0.0000
Ti  0.3343  0.8900  0.0000
Ti  0.4966  0.2996  0.0000
Ti  0.5034  0.7004  0.0000
Ti  0.6657  0.1100  0.0000
Ti  0.7004  0.5034  0.0000
Ti  0.8900  0.3343  0.0000
Zn  0.0932  0.4658  0.5000
Zn  0.1235  0.8765  0.5000
Zn  0.3088  0.6912  0.5000
Zn  0.3102  0.3102  0.5000
Zn  0.4658  0.0932  0.5000
Zn  0.5000  0.5000  0.5000
Zn  0.5342  0.9068  0.5000
Zn  0.6898  0.6898  0.5000
Zn  0.6912  0.3088  0.5000
Zn  0.8765  0.1235  0.5000
Zn  0.9068  0.5342  0.5000

---

Diffraction record for Y3HoIn2S. The powder diffraction line list is calculated, not measured: it uses a crystal structure in Alexandria, relaxed with PBE and Cu Kα X-rays.

Largest 10 diffraction maxima, in order of rising 2θ, 10 to 90 degrees two-theta:
| 2θ (°) | d [Å] | I_rel |
| --- | --- | --- |
| 11.05 | 8.009 | 289 |
| 27.31 | 3.265 | 586 |
| 33.10 | 2.707 | 247 |
| 33.60 | 2.668 | 1000 |
| 35.45 | 2.532 | 313 |
| 35.56 | 2.525 | 310 |
| 49.34 | 1.847 | 155 |
| 49.66 | 1.836 | 262 |
| 51.09 | 1.788 | 215 |
| 62.50 | 1.486 | 259 |

Atomic structure:
Cell lengths 5.0492, 5.0643, 16.0175 Å; angles 90.00, 90.00, 90.00 degrees
Fractional positions:
Y  0.0000  0.0000  0.0000
Y  0.0000  0.5000  0.1718
Y  0.0000  0.5000  0.8282
Y  0.5000  0.0000  0.3282
Y  0.5000  0.0000  0.6718
Y  0.5000  0.5000  0.5000
Ho  0.0000  0.0000  0.5000
Ho  0.5000  0.5000  0.0000
In  0.0000  0.5000  0.3682
In  0.0000  0.5000  0.6318
In  0.5000  0.0000  0.1318
In  0.5000  0.0000  0.8682
S  0.0000  0.5000  0.0000
S  0.5000  0.0000  0.5000

---

Diffraction record for FeRe8. The powder diffraction line list is calculated, not measured: it uses a crystal structure in Alexandria, relaxed with PBE and Cu Kα X-rays.

Largest 10 diffraction maxima, in order of rising 2θ, 10 to 90 degrees two-theta:
| 2θ (°) | d [Å] | I_rel |
| --- | --- | --- |
| 25.46 | 3.499 | 23 |
| 33.57 | 2.669 | 30 |
| 40.23 | 2.242 | 1000 |
| 46.67 | 1.946 | 326 |
| 47.05 | 1.931 | 162 |
| 68.13 | 1.376 | 105 |
| 68.43 | 1.371 | 210 |
| 82.18 | 1.173 | 252 |
| 82.75 | 1.166 | 127 |
| 86.91 | 1.121 | 113 |

Atomic structure:
Cell lengths 6.1504, 6.1504, 6.1504 Å; angles 95.66, 95.66, 143.39 degrees
Fractional positions:
Fe  0.0000  0.0000  0.0000
Re  0.0000  0.3272  0.3272
Re  0.0000  0.6728  0.6728
Re  0.3272  0.0000  0.3272
Re  0.3378  0.3378  0.6756
Re  0.3378  0.6622  0.0000
Re  0.6622  0.3378  0.0000
Re  0.6622  0.6622  0.3244
Re  0.6728  0.0000  0.6728

---

Repeat the fifth record exactly.
Diffraction record for Dy4GaNi. The powder diffraction line list is calculated, not measured: it uses a crystal structure in Alexandria, relaxed with PBE and Cu Kα X-rays.

Largest 10 diffraction maxima, in order of rising 2θ, 10 to 90 degrees two-theta:
| 2θ (°) | d [Å] | I_rel |
| --- | --- | --- |
| 25.83 | 3.450 | 266 |
| 30.93 | 2.891 | 347 |
| 31.61 | 2.831 | 1000 |
| 33.74 | 2.657 | 368 |
| 34.16 | 2.625 | 643 |
| 34.27 | 2.617 | 572 |
| 34.40 | 2.607 | 757 |
| 41.26 | 2.188 | 296 |
| 53.13 | 1.724 | 415 |
| 58.58 | 1.576 | 246 |

Atomic structure:
Cell lengths 5.4529, 6.8905, 8.1832 Å; angles 90.00, 103.00, 90.00 degrees
Fractional positions:
Dy  0.1442  0.2500  0.0710
Dy  0.2393  0.7500  0.3809
Dy  0.3159  0.5055  0.7655
Dy  0.3159  0.9945  0.7655
Dy  0.6841  0.0055  0.2345
Dy  0.6841  0.4945  0.2345
Dy  0.7607  0.2500  0.6191
Dy  0.8558  0.7500  0.9290
Ga  0.2084  0.2500  0.4374
Ga  0.7916  0.7500  0.5626
Ni  0.3403  0.7500  0.0545
Ni  0.6597  0.2500  0.9455